Structure and computed X-ray diffraction stick pattern of Mg7Al (a structure optimized by DFT (PBE); copper Kα).

Cell and atoms:
Unit cell a=6.332 b=6.332 c=5.048 alpha=90.00 beta=90.00 gamma=120.00
Atoms (fractional coordinates):
Mg (0.000, 0.000, 0.000)
Mg (0.005, 0.503, 0.000)
Mg (0.333, 0.166, 0.500)
Mg (0.497, 0.503, 0.000)
Mg (0.497, 0.995, 0.000)
Mg (0.834, 0.166, 0.500)
Mg (0.834, 0.667, 0.500)
Al (0.333, 0.667, 0.500)

Largest 6 diffraction maxima, low angle first, 2θ = 10–90°:
index  2theta  d [Å]  Rel. int.
2 0 0  32.66  2.742  24
0 0 2  35.57  2.524  26
2 0 1  37.32  2.409  100
2 2 0  58.29  1.583  17
2 0 3  65.03  1.434  18
2 2 2  70.18  1.341  19


Structure and computed X-ray diffraction stick pattern of NbTlS (a structure optimized by DFT (PBE); copper Kα).

Cell and atoms:
Unit cell a=3.333 b=4.678 c=8.972 alpha=90.00 beta=100.68 gamma=90.00
Atoms (fractional coordinates):
Nb (0.218, 0.250, 0.435)
Nb (0.782, 0.750, 0.565)
Tl (0.435, 0.750, 0.874)
Tl (0.565, 0.250, 0.126)
S (0.178, 0.750, 0.356)
S (0.822, 0.250, 0.644)

Largest 6 diffraction maxima, low angle first, 2θ = 10–90°:
index  2theta  d [Å]  Rel. int.
0 1 1  21.51  4.132  67
1 0 -1  27.23  3.275  36
0 1 2  27.81  3.208  40
0 1 3  36.09  2.488  36
1 1 1  36.46  2.464  100
0 2 0  38.49  2.339  35


Q: What is the formula in the second record?
A: NbTlS


Q: Number 2 is which compound?
A: NbTlS